The following is a theoretical powder diffraction line list of Ba3UN3. It was derived from a GGA-PBE-relaxed structure, using Cu Kα (weighted mean of Kα1 and Kα2).

Principal peaks in the range 2θ from 10° to 90°, most intense first:
- 2θ 26.02, I = 100
- 2θ 28.07, I = 78
- 2θ 13.58, I = 73
- 2θ 30.62, I = 59
- 2θ 28.92, I = 48
- 2θ 22.41, I = 39
- 2θ 47.61, I = 37
- 2θ 24.94, I = 36

a b c (Å): 9.5128 9.5128 9.9128
angles (deg): 90.00 90.00 65.54
Sites, in units of the cell vectors:
1 Ba 0.0059 0.3420 0.8810
2 Ba 0.1580 0.4941 0.6190
3 Ba 0.2012 0.7988 0.8459
4 Ba 0.2988 0.7012 0.3459
5 Ba 0.3420 0.0059 0.1190
6 Ba 0.4941 0.1580 0.3810
7 Ba 0.5059 0.8420 0.6190
8 Ba 0.6580 0.9941 0.8810
9 Ba 0.7012 0.2988 0.6541
10 Ba 0.7988 0.2012 0.1541
11 Ba 0.8420 0.5059 0.3810
12 Ba 0.9941 0.6580 0.1190
13 U 0.1082 0.1082 0.5000
14 U 0.3918 0.3918 0.0000
15 U 0.6082 0.6082 0.0000
16 U 0.8918 0.8918 0.5000
17 N 0.0073 0.6952 0.3942
18 N 0.1030 0.8970 0.5826
19 N 0.1952 0.5073 0.8942
20 N 0.3048 0.9927 0.3942
21 N 0.3970 0.6030 0.0826
22 N 0.4927 0.8048 0.8942
23 N 0.5073 0.1952 0.1058
24 N 0.6030 0.3970 0.9174
25 N 0.6952 0.0073 0.6058
26 N 0.8048 0.4927 0.1058
27 N 0.8970 0.1030 0.4174
28 N 0.9927 0.3048 0.6058

---

The following is a theoretical powder diffraction line list of Pm8Hg2Ru. It was derived from a GGA-PBE-relaxed structure, using Cu Kα (weighted mean of Kα1 and Kα2).

Principal peaks in the range 2θ from 10° to 90°, most intense first:
- 2θ 32.76, I = 100
- 2θ 31.91, I = 34
- 2θ 36.04, I = 32
- 2θ 62.73, I = 16
- 2θ 27.77, I = 16
- 2θ 37.71, I = 16
- 2θ 32.07, I = 16
- 2θ 31.19, I = 13

a b c (Å): 8.9221 8.9221 8.9221
angles (deg): 147.56 121.12 68.85
Sites, in units of the cell vectors:
1 Pm 0.1147 0.3457 0.7690
2 Pm 0.1177 0.1177 0.0000
3 Pm 0.3350 0.0000 0.3350
4 Pm 0.4233 0.6543 0.7690
5 Pm 0.5767 0.3457 0.2310
6 Pm 0.6650 0.0000 0.6650
7 Pm 0.8823 0.8823 0.0000
8 Pm 0.8853 0.6543 0.2310
9 Hg 0.2988 0.7988 0.5000
10 Hg 0.7012 0.2012 0.5000
11 Ru 0.0000 0.5000 0.5000

---

The following is a theoretical powder diffraction line list of HoH9C5N2O8. It was derived from a GGA-PBE-relaxed structure, using Cu Kα (weighted mean of Kα1 and Kα2).

Principal peaks in the range 2θ from 10° to 90°, most intense first:
- 2θ 14.74, I = 100
- 2θ 18.50, I = 50
- 2θ 14.26, I = 44
- 2θ 29.76, I = 43
- 2θ 22.44, I = 40
- 2θ 16.61, I = 31
- 2θ 27.92, I = 28
- 2θ 17.92, I = 22

a b c (Å): 6.7312 6.7312 6.5912
angles (deg): 106.37 106.37 65.41
Sites, in units of the cell vectors:
1 Ho 0.0000 0.0000 0.0000
2 H 0.1644 0.4676 0.1200
3 H 0.2680 0.4892 0.5370
4 H 0.3621 0.2044 0.4067
5 H 0.5108 0.7320 0.4630
6 H 0.5324 0.8356 0.8800
7 H 0.5414 0.4412 0.8263
8 H 0.5588 0.4586 0.1737
9 H 0.7956 0.6379 0.5933
10 H 0.9205 0.0795 0.5000
11 C 0.0529 0.4714 0.9599
12 C 0.0718 0.9282 0.5000
13 C 0.5286 0.9471 0.0401
14 C 0.5375 0.2900 0.7065
15 C 0.7100 0.4625 0.2935
16 N 0.3754 0.3284 0.5375
17 N 0.6716 0.6246 0.4625
18 O 0.0024 0.6405 0.8767
19 O 0.1475 0.8414 0.6678
20 O 0.1586 0.8525 0.3322
21 O 0.3595 0.9976 0.1233
22 O 0.6785 0.1011 0.7355
23 O 0.6869 0.0146 0.1270
24 O 0.8989 0.3215 0.2645
25 O 0.9854 0.3131 0.8730

---

The following is a theoretical powder diffraction line list of Ca5Ag4. It was derived from a GGA-PBE-relaxed structure, using Cu Kα (weighted mean of Kα1 and Kα2).

Principal peaks in the range 2θ from 10° to 90°, most intense first:
- 2θ 31.78, I = 100
- 2θ 21.82, I = 99
- 2θ 35.77, I = 93
- 2θ 35.60, I = 84
- 2θ 29.78, I = 77
- 2θ 40.99, I = 67
- 2θ 44.13, I = 55
- 2θ 16.54, I = 53

a b c (Å): 6.1412 6.1412 10.9824
angles (deg): 109.34 109.34 42.02
Sites, in units of the cell vectors:
1 Ca 0.0000 0.0000 0.0000
2 Ca 0.1047 0.1047 0.3917
3 Ca 0.2419 0.2419 0.8244
4 Ca 0.7581 0.7581 0.1756
5 Ca 0.8953 0.8953 0.6083
6 Ag 0.3856 0.3856 0.3910
7 Ag 0.4579 0.4579 0.1694
8 Ag 0.5421 0.5421 0.8306
9 Ag 0.6144 0.6144 0.6090

---

The following is a theoretical powder diffraction line list of PrDy12Sc2. It was derived from a GGA-PBE-relaxed structure, using Cu Kα (weighted mean of Kα1 and Kα2).

Principal peaks in the range 2θ from 10° to 90°, most intense first:
- 2θ 31.23, I = 100
- 2θ 31.87, I = 93
- 2θ 35.04, I = 65
- 2θ 52.07, I = 42
- 2θ 37.25, I = 36
- 2θ 61.26, I = 31
- 2θ 61.64, I = 28
- 2θ 51.26, I = 15

a b c (Å): 3.5644 4.8276 27.6665
angles (deg): 90.00 93.67 90.00
Sites, in units of the cell vectors:
1 Pr 0.0000 0.0000 0.0000
2 Dy 0.0640 0.0000 0.1327
3 Dy 0.1899 0.0000 0.3826
4 Dy 0.2769 0.5000 0.5525
5 Dy 0.3420 0.5000 0.6788
6 Dy 0.4042 0.5000 0.8024
7 Dy 0.4666 0.5000 0.9319
8 Dy 0.5334 0.5000 0.0681
9 Dy 0.5958 0.5000 0.1976
10 Dy 0.6580 0.5000 0.3212
11 Dy 0.7231 0.5000 0.4475
12 Dy 0.8101 0.0000 0.6174
13 Dy 0.9360 0.0000 0.8673
14 Sc 0.1268 0.0000 0.2591
15 Sc 0.8732 0.0000 0.7409

---

The following is a theoretical powder diffraction line list of Pm3YN4. It was derived from a GGA-PBE-relaxed structure, using Cu Kα (weighted mean of Kα1 and Kα2).

Principal peaks in the range 2θ from 10° to 90°, most intense first:
- 2θ 30.55, I = 100
- 2θ 35.43, I = 77
- 2θ 50.97, I = 53
- 2θ 60.60, I = 45
- 2θ 85.73, I = 23
- 2θ 83.07, I = 19
- 2θ 63.60, I = 18
- 2θ 74.96, I = 8

a b c (Å): 5.0678 5.0678 5.0678
angles (deg): 90.00 90.00 90.00
Sites, in units of the cell vectors:
1 Pm 0.0000 0.0000 0.5000
2 Pm 0.0000 0.5000 0.0000
3 Pm 0.5000 0.0000 0.0000
4 Y 0.5000 0.5000 0.5000
5 N 0.0000 0.0000 0.0000
6 N 0.0000 0.5000 0.5000
7 N 0.5000 0.0000 0.5000
8 N 0.5000 0.5000 0.0000